Simulated X-ray diffraction stick pattern of TbCoSi2Os for copper Kα, from a cell relaxed with PBE.

Crystal structure
Cell lengths 5.6582, 5.6582, 5.6582 Å; angles 138.30, 138.30, 60.44 degrees
Atoms (fractional coordinates):
Tb 0.0000 0.0000 0.0000
Co 0.2500 0.7500 0.5000
Si 0.3728 0.3728 0.0000
Si 0.6272 0.6272 0.0000
Os 0.7500 0.2500 0.5000

Top 6 peaks for 2θ from 15° to 90°, by intensity:
- 2θ 36.51, rel. 100
- 2θ 23.90, rel. 51
- 2θ 35.43, rel. 37
- 2θ 45.02, rel. 36
- 2θ 77.44, rel. 22
- 2θ 36.76, rel. 18



Simulated X-ray diffraction stick pattern of CoOs5W2 for copper Kα, from a cell relaxed with PBE.

Crystal structure
Cell lengths 4.3606, 5.5006, 5.5006 Å; angles 60.05, 90.00, 90.00 degrees
Atoms (fractional coordinates):
Co 0.0000 0.0000 0.0000
Os 0.0000 0.0076 0.5004
Os 0.0000 0.5004 0.0076
Os 0.5000 0.1620 0.6760
Os 0.5000 0.6680 0.6680
Os 0.5000 0.6760 0.1620
W 0.0000 0.4988 0.4988
W 0.5000 0.1646 0.1646

Top 6 peaks for 2θ from 15° to 90°, by intensity:
- 2θ 43.27, rel. 100
- 2θ 41.41, rel. 25
- 2θ 37.76, rel. 25
- 2θ 83.01, rel. 20
- 2θ 76.82, rel. 19
- 2θ 68.18, rel. 17



Simulated X-ray diffraction stick pattern of Co2OsW for copper Kα, from a cell relaxed with PBE.

Crystal structure
Cell lengths 4.2226, 5.2866, 5.2866 Å; angles 120.19, 90.00, 90.00 degrees
Atoms (fractional coordinates):
Co 0.2500 0.0682 0.3961
Co 0.2500 0.0797 0.9203
Co 0.7500 0.3961 0.0682
Co 0.7500 0.9203 0.0797
Os 0.2500 0.5684 0.3988
Os 0.7500 0.3988 0.5684
W 0.2500 0.5859 0.9177
W 0.7500 0.9177 0.5859

Top 6 peaks for 2θ from 15° to 90°, by intensity:
- 2θ 45.12, rel. 100
- 2θ 45.01, rel. 49
- 2θ 42.83, rel. 39
- 2θ 28.79, rel. 33
- 2θ 19.42, rel. 28
- 2θ 80.05, rel. 27